Record 1
Structure and theoretical X-ray powder pattern of Sb2PdPt3 (a cell relaxed with GGA-PBE; Cu Kα X-rays).
No peak broadening, texture or thermal motion is included.

Structure:
```
data_Sb2PdPt3
_cell_length_a 4.089
_cell_length_b 6.778
_cell_length_c 8.348
_cell_angle_alpha 83.25
_cell_angle_beta 75.84
_cell_angle_gamma 89.98
_symmetry_space_group_name_H-M 'P -1'
_symmetry_Int_Tables_number 2
loop_
_symmetry_equiv_pos_as_xyz
'x,y,z'
'-x,-y,-z'
loop_
_atom_site_label
_atom_site_fract_x
_atom_site_fract_y
_atom_site_fract_z
Sb1 0.034 0.252 0.432
Sb2 0.273 0.216 0.954
Pd1 0.353 0.761 0.792
Pt1 0.130 0.946 0.241
Pt2 0.176 0.531 0.149
Pt3 0.439 0.339 0.621
```

Main lines, low angle first (15° ≤ 2θ ≤ 90°):
| Position (°2θ) | I (rel.) | h k l |
| --- | --- | --- |
| 35.52 | 14 | 1 -2 1 |
| 36.84 | 23 | 0 2 -2 |
| 37.02 | 100 | 1 2 2 |
| 39.26 | 92 | 1 1 -2 |
| 40.43 | 12 | 0 2 3 |
| 43.17 | 25 | 0 3 -1 |
| 44.30 | 41 | 2 0 1 |
| 45.54 | 23 | 0 1 4 |
| 63.58 | 16 | 2 -3 2 |
| 65.41 | 15 | 2 1 5 |
| 76.72 | 12 | 3 -2 0 |
| 78.14 | 12 | 3 -1 4 |

Record 2
Structure and theoretical X-ray powder pattern of PrZn2Ni2 (a cell relaxed with GGA-PBE; Cu Kα X-rays).
No peak broadening, texture or thermal motion is included.

Structure:
```
data_PrZn2Ni2
_cell_length_a 5.141
_cell_length_b 9.193
_cell_length_c 7.989
_cell_angle_alpha 90.00
_cell_angle_beta 108.70
_cell_angle_gamma 90.00
_symmetry_space_group_name_H-M 'C 1 2/c 1'
_symmetry_Int_Tables_number 15
loop_
_symmetry_equiv_pos_as_xyz
'x,y,z'
'-x,-y,-z'
'-x,y,-z+1/2'
'x,-y,z+1/2'
'x+1/2,y+1/2,z'
'-x+1/2,-y+1/2,-z'
'-x+1/2,y+1/2,-z+1/2'
'x+1/2,-y+1/2,z+1/2'
loop_
_atom_site_label
_atom_site_fract_x
_atom_site_fract_y
_atom_site_fract_z
Pr1 0.000 0.125 0.250
Zn1 0.120 0.375 0.990
Ni1 0.000 0.193 0.750
Ni2 0.000 0.443 0.250
```

Main lines, low angle first (15° ≤ 2θ ≤ 90°):
| Position (°2θ) | I (rel.) | h k l |
| --- | --- | --- |
| 23.51 | 24 | 0 0 2 |
| 26.59 | 67 | 1 1 -2 |
| 34.59 | 28 | 1 3 0 |
| 35.79 | 40 | 1 1 2 |
| 36.93 | 70 | 2 0 0 |
| 38.58 | 100 | 1 3 -2 |
| 39.20 | 26 | 0 4 0 |
| 40.19 | 28 | 2 2 -1 |
| 45.68 | 70 | 1 3 2 |
| 48.10 | 34 | 0 0 4 |
| 50.71 | 21 | 2 0 -4 |
| 71.72 | 21 | 2 6 -1 |

Record 3
Structure and theoretical X-ray powder pattern of CeNd2PaS8 (a cell relaxed with GGA-PBE; Cu Kα X-rays).
No peak broadening, texture or thermal motion is included.

Structure:
```
data_CeNd2PaS8
_cell_length_a 4.637
_cell_length_b 6.760
_cell_length_c 9.248
_cell_angle_alpha 90.00
_cell_angle_beta 90.15
_cell_angle_gamma 90.00
_symmetry_space_group_name_H-M 'P 1 2/m 1'
_symmetry_Int_Tables_number 10
loop_
_symmetry_equiv_pos_as_xyz
'x,y,z'
'-x,-y,-z'
'-x,y,-z'
'x,-y,z'
loop_
_atom_site_label
_atom_site_fract_x
_atom_site_fract_y
_atom_site_fract_z
Ce1 0.000 0.000 0.000
Nd1 0.500 0.500 0.247
Pa1 0.000 0.000 0.500
S1 0.000 0.238 0.258
S2 0.500 0.232 0.500
S3 0.500 0.242 0.000
```

Main lines, low angle first (15° ≤ 2θ ≤ 90°):
| Position (°2θ) | I (rel.) | h k l |
| --- | --- | --- |
| 23.28 | 100 | 0 1 2 |
| 26.37 | 6 | 0 2 0 |
| 27.24 | 11 | 1 0 2 |
| 38.27 | 54 | 1 2 2 |
| 38.84 | 13 | 2 0 0 |
| 38.95 | 13 | 0 0 4 |
| 44.73 | 18 | 1 3 0 |
| 45.80 | 25 | 2 1 2 |
| 45.91 | 8 | 1 1 4 |
| 60.72 | 11 | 1 3 -4 |
| 61.75 | 6 | 0 1 6 |
| 70.03 | 9 | 3 2 2 |

Record 4
Structure and theoretical X-ray powder pattern of NaCa2AcO4 (a cell relaxed with GGA-PBE; Cu Kα X-rays).
No peak broadening, texture or thermal motion is included.

Structure:
```
data_NaCa2AcO4
_cell_length_a 4.974
_cell_length_b 4.974
_cell_length_c 10.212
_cell_angle_alpha 90.00
_cell_angle_beta 90.00
_cell_angle_gamma 90.00
_symmetry_space_group_name_H-M 'I 4/m m m'
_symmetry_Int_Tables_number 139
_symmetry_space_group_name_Hall '-I 4 2'
loop_
_atom_site_label
_atom_site_fract_x
_atom_site_fract_y
_atom_site_fract_z
Na1 0.000 0.000 0.000
Ca1 0.000 0.500 0.250
Ac1 0.000 0.000 0.500
O1 0.000 0.000 0.255
O2 0.000 0.500 0.000
```

Main lines, low angle first (15° ≤ 2θ ≤ 90°):
| Position (°2θ) | I (rel.) | h k l |
| --- | --- | --- |
| 17.37 | 21 | 0 0 2 |
| 19.85 | 100 | 1 0 1 |
| 25.32 | 18 | 1 1 0 |
| 30.87 | 61 | 1 1 2 |
| 31.86 | 30 | 1 0 3 |
| 35.15 | 25 | 0 0 4 |
| 36.11 | 46 | 2 0 0 |
| 41.55 | 31 | 2 1 1 |
| 48.91 | 19 | 2 1 3 |
| 51.28 | 32 | 2 0 4 |
| 61.68 | 29 | 3 1 2 |
| 64.32 | 15 | 2 2 4 |

Record 5
Structure and theoretical X-ray powder pattern of Tb6NdEr2 (a cell relaxed with GGA-PBE; Cu Kα X-rays).
No peak broadening, texture or thermal motion is included.

Structure:
```
data_Tb6NdEr2
_cell_length_a 3.565
_cell_length_b 8.714
_cell_length_c 9.419
_cell_angle_alpha 90.11
_cell_angle_beta 100.87
_cell_angle_gamma 90.05
_symmetry_space_group_name_H-M 'P -1'
_symmetry_Int_Tables_number 2
loop_
_symmetry_equiv_pos_as_xyz
'x,y,z'
'-x,-y,-z'
loop_
_atom_site_label
_atom_site_fract_x
_atom_site_fract_y
_atom_site_fract_z
Tb1 0.111 0.165 0.222
Tb2 0.221 0.835 0.444
Tb3 0.332 0.500 0.665
Nd1 0.000 0.500 0.000
Er1 0.444 0.165 0.889
```

Main lines, low angle first (15° ≤ 2θ ≤ 90°):
| Position (°2θ) | I (rel.) | h k l |
| --- | --- | --- |
| 30.75 | 100 | 1 1 1 |
| 35.63 | 34 | 1 2 -2 |
| 35.71 | 17 | 0 2 3 |
| 51.30 | 30 | 1 0 4 |
| 51.38 | 6 | 1 4 1 |
| 60.95 | 14 | 2 1 -4 |
| 61.03 | 18 | 0 1 6 |
| 61.11 | 11 | 1 3 4 |
| 64.03 | 9 | 2 2 2 |
| 83.64 | 7 | 3 1 0 |
| 83.75 | 9 | 2 5 2 |
| 86.42 | 7 | 1 2 7 |

Record 6
Structure and theoretical X-ray powder pattern of LiCe2HfAs4 (a cell relaxed with GGA-PBE; Cu Kα X-rays).
No peak broadening, texture or thermal motion is included.

Structure:
```
data_LiCe2HfAs4
_cell_length_a 6.750
_cell_length_b 4.081
_cell_length_c 7.164
_cell_angle_alpha 90.00
_cell_angle_beta 110.10
_cell_angle_gamma 90.00
_symmetry_space_group_name_H-M 'P 1 2/m 1'
_symmetry_Int_Tables_number 10
loop_
_symmetry_equiv_pos_as_xyz
'x,y,z'
'-x,-y,-z'
'-x,y,-z'
'x,-y,z'
loop_
_atom_site_label
_atom_site_fract_x
_atom_site_fract_y
_atom_site_fract_z
Li1 0.000 0.000 0.000
Ce1 0.500 0.000 0.500
Ce2 0.500 0.500 0.000
Hf1 0.000 0.500 0.500
As1 0.229 0.000 0.738
As2 0.233 0.500 0.253
```

Main lines, low angle first (15° ≤ 2θ ≤ 90°):
| Position (°2θ) | I (rel.) | h k l |
| --- | --- | --- |
| 15.57 | 9 | 1 0 -1 |
| 31.40 | 100 | 1 1 1 |
| 43.93 | 26 | 1 1 -3 |
| 44.40 | 13 | 0 2 0 |
| 45.57 | 12 | 2 0 2 |
| 46.08 | 22 | 3 1 -1 |
| 54.57 | 8 | 0 0 4 |
| 55.40 | 13 | 2 2 -2 |
| 65.54 | 12 | 2 2 2 |
| 72.91 | 11 | 0 2 4 |
| 73.58 | 6 | 1 3 1 |
| 76.07 | 9 | 4 2 0 |